# LiAg3O4
Theoretical XRD peak list, Cu Kα X-rays. Input: a GGA-PBE-relaxed structure.
No peak broadening, texture or thermal motion is included.

Peak list (8 most intense, 2θ = 10–90°, low angle first)
hkl 1 1 0, d = 4.116 Å, 21.59 deg, I 342
hkl 2 1 0, d = 2.603 Å, 34.45 deg, I 1000
hkl 2 1 1, d = 2.376 Å, 37.86 deg, I 210
hkl 2 2 2, d = 1.680 Å, 54.61 deg, I 227
hkl 3 2 0, d = 1.615 Å, 57.04 deg, I 219
hkl 3 2 1, d = 1.556 Å, 59.41 deg, I 124
hkl 4 0 0, d = 1.455 Å, 63.97 deg, I 103
hkl 4 2 1, d = 1.270 Å, 74.73 deg, I 191

Structure:
abc: 5.821 5.821 5.821
angles: 90.00 90.00 90.00
Positions (direct):
Li (0.000, 0.000, 0.000)
Li (0.500, 0.500, 0.500)
Ag (0.000, 0.250, 0.500)
Ag (0.000, 0.750, 0.500)
Ag (0.250, 0.500, 0.000)
Ag (0.500, 0.000, 0.250)
Ag (0.500, 0.000, 0.750)
Ag (0.750, 0.500, 0.000)
O (0.209, 0.209, 0.209)
O (0.209, 0.791, 0.791)
O (0.291, 0.291, 0.709)
O (0.291, 0.709, 0.291)
O (0.709, 0.291, 0.291)
O (0.709, 0.709, 0.709)
O (0.791, 0.209, 0.791)
O (0.791, 0.791, 0.209)